Entry 1:
Structure and calculated X-ray diffraction stick pattern of SiSb3 (a crystal structure in the Materials Project, relaxed with GGA-PBE; λ = 1.5418 Å (Cu Kα)).

Atomic structure:
```
SiSb3
1.0
6.450 0.000 0.000
-3.225 5.586 0.000
0.000 0.000 5.562
Si Sb
2 6
Direct
0.333 0.667 0.250 Si
0.667 0.333 0.750 Si
0.175 0.349 0.750 Sb
0.175 0.825 0.750 Sb
0.349 0.175 0.250 Sb
0.651 0.825 0.750 Sb
0.825 0.175 0.250 Sb
0.825 0.651 0.250 Sb
```

Most intense lines, 2θ from 5° to 70°, by angle:
hkl, 2theta, I_rel
1 0 1, 22.56, 24
1 1 0, 27.66, 7
2 0 0, 32.05, 23
0 0 2, 32.19, 31
2 0 1, 35.98, 100
2 1 0, 42.84, 4
1 1 2, 42.94, 4
2 0 2, 46.05, 19
2 2 0, 57.12, 16
2 0 3, 59.88, 22
2 2 2, 67.09, 22
4 0 1, 69.39, 13

=====

Entry 2:
Structure and calculated X-ray diffraction stick pattern of Ag3TeP2O14 (a crystal structure in the Materials Project, relaxed with GGA-PBE; λ = 1.5418 Å (Cu Kα)).

Atomic structure:
```
Ag3TeP2O14
1.0
7.859 0.000 0.000
-3.930 6.806 0.000
0.000 0.000 10.173
Ag Te P O
6 2 4 28
Direct
0.046 0.523 0.250 Ag
0.477 0.523 0.250 Ag
0.477 0.954 0.250 Ag
0.523 0.046 0.750 Ag
0.523 0.477 0.750 Ag
0.954 0.477 0.750 Ag
0.000 0.000 0.250 Te
0.000 0.000 0.750 Te
0.333 0.667 0.543 P
0.333 0.667 0.957 P
0.667 0.333 0.043 P
0.667 0.333 0.457 P
0.035 0.234 0.158 O
0.035 0.801 0.342 O
0.142 0.487 0.592 O
0.142 0.655 0.908 O
0.199 0.234 0.342 O
0.199 0.965 0.158 O
0.234 0.035 0.842 O
0.234 0.199 0.658 O
0.333 0.667 0.113 O
0.333 0.667 0.387 O
0.345 0.487 0.908 O
0.345 0.858 0.592 O
0.487 0.142 0.408 O
0.487 0.345 0.092 O
0.513 0.655 0.592 O
0.513 0.858 0.908 O
0.655 0.142 0.092 O
0.655 0.513 0.408 O
0.667 0.333 0.613 O
0.667 0.333 0.887 O
0.766 0.801 0.158 O
0.766 0.965 0.342 O
0.801 0.035 0.658 O
0.801 0.766 0.842 O
0.858 0.345 0.408 O
0.858 0.513 0.092 O
0.965 0.199 0.842 O
0.965 0.766 0.658 O
```

Most intense lines, 2θ from 5° to 70°, by angle:
hkl, 2theta, I_rel
0 0 2, 17.43, 58
2 0 0, 26.19, 56
1 0 3, 29.43, 10
2 0 2, 31.63, 100
3 0 1, 40.75, 10
2 1 3, 44.19, 10
2 0 4, 44.47, 38
2 2 0, 46.20, 14
2 2 2, 49.75, 15
4 0 2, 57.08, 15
2 2 4, 59.44, 14
2 0 6, 61.06, 16

=====

Entry 3:
Structure and calculated X-ray diffraction stick pattern of NdEu2SbO6 (a crystal structure in the Materials Project, relaxed with GGA-PBE; λ = 1.5418 Å (Cu Kα)).

Atomic structure:
```
NdEu2SbO6
1.0
8.458 0.000 0.000
0.000 8.458 0.000
0.000 0.000 8.458
Nd Eu Sb O
4 8 4 24
Direct
0.000 0.000 0.000 Nd
0.000 0.500 0.500 Nd
0.500 0.000 0.500 Nd
0.500 0.500 0.000 Nd
0.250 0.250 0.250 Eu
0.250 0.250 0.750 Eu
0.250 0.750 0.250 Eu
0.250 0.750 0.750 Eu
0.750 0.250 0.250 Eu
0.750 0.250 0.750 Eu
0.750 0.750 0.250 Eu
0.750 0.750 0.750 Eu
0.000 0.000 0.500 Sb
0.000 0.500 0.000 Sb
0.500 0.000 0.000 Sb
0.500 0.500 0.500 Sb
0.038 0.546 0.769 O
0.038 0.954 0.731 O
0.046 0.231 0.538 O
0.046 0.269 0.962 O
0.231 0.538 0.046 O
0.231 0.962 0.454 O
0.269 0.538 0.454 O
0.269 0.962 0.046 O
0.454 0.231 0.962 O
0.454 0.269 0.538 O
0.462 0.546 0.731 O
0.462 0.954 0.769 O
0.538 0.046 0.231 O
0.538 0.454 0.269 O
0.546 0.731 0.462 O
0.546 0.769 0.038 O
0.731 0.038 0.954 O
0.731 0.462 0.546 O
0.769 0.038 0.546 O
0.769 0.462 0.954 O
0.954 0.731 0.038 O
0.954 0.769 0.462 O
0.962 0.046 0.269 O
0.962 0.454 0.231 O
```

Most intense lines, 2θ from 5° to 70°, by angle:
hkl, 2theta, I_rel
2 2 0, 29.88, 100
3 0 1, 33.50, 1
2 2 2, 36.81, 2
4 0 0, 42.77, 26
4 2 2, 53.04, 44
4 4 0, 62.08, 15

=====

Entry 4:
Structure and calculated X-ray diffraction stick pattern of YAlNi (a crystal structure in the Materials Project, relaxed with GGA-PBE; λ = 1.5418 Å (Cu Kα)).

Atomic structure:
```
YAlNi
1.0
6.958 0.000 0.000
-3.479 6.026 0.000
0.000 0.000 3.919
Y Al Ni
3 3 3
Direct
0.000 0.583 0.000 Y
0.417 0.417 0.000 Y
0.583 0.000 0.000 Y
0.000 0.234 0.500 Al
0.234 0.000 0.500 Al
0.766 0.766 0.500 Al
0.000 0.000 0.000 Ni
0.333 0.667 0.500 Ni
0.667 0.333 0.500 Ni
```

Most intense lines, 2θ from 5° to 70°, by angle:
hkl, 2theta, I_rel
1 1 0, 25.61, 23
2 0 0, 29.65, 20
1 1 1, 34.47, 81
2 0 1, 37.66, 100
2 1 0, 39.57, 28
3 0 0, 45.14, 23
2 1 1, 46.10, 20
0 0 2, 46.33, 24
3 1 0, 54.94, 15
3 1 1, 60.20, 22
2 1 2, 62.53, 14
3 0 2, 66.68, 13

=====

Entry 5:
Structure and calculated X-ray diffraction stick pattern of Pr4CrS7 (a crystal structure in the Materials Project, relaxed with GGA-PBE; λ = 1.5418 Å (Cu Kα)).

Atomic structure:
```
Pr4CrS7
1.0
10.009 0.000 0.000
-5.005 8.668 0.000
0.000 0.000 6.828
Pr Cr S
8 2 14
Direct
0.149 0.374 0.000 Pr
0.225 0.851 0.000 Pr
0.333 0.667 0.455 Pr
0.374 0.225 0.500 Pr
0.626 0.775 0.000 Pr
0.667 0.333 0.955 Pr
0.775 0.149 0.500 Pr
0.851 0.626 0.500 Pr
0.000 0.000 0.316 Cr
0.000 0.000 0.816 Cr
0.071 0.565 0.242 S
0.096 0.229 0.589 S
0.133 0.904 0.589 S
0.229 0.133 0.089 S
0.333 0.667 0.845 S
0.435 0.507 0.242 S
0.493 0.929 0.242 S
0.507 0.071 0.742 S
0.565 0.493 0.742 S
0.667 0.333 0.345 S
0.771 0.867 0.589 S
0.867 0.096 0.089 S
0.904 0.771 0.089 S
0.929 0.435 0.742 S
```

Most intense lines, 2θ from 5° to 70°, by angle:
hkl, 2theta, I_rel
2 0 0, 20.49, 13
2 0 1, 24.32, 100
0 0 2, 26.10, 19
2 1 1, 30.26, 14
2 0 2, 33.41, 40
3 0 1, 33.68, 19
2 2 0, 35.89, 37
1 2 2, 38.07, 14
3 1 1, 39.75, 13
4 0 1, 43.83, 13
2 0 3, 44.96, 44
1 4 1, 50.04, 13

=====

Entry 6:
Structure and calculated X-ray diffraction stick pattern of LiCuS (a crystal structure in the Materials Project, relaxed with GGA-PBE; λ = 1.5418 Å (Cu Kα)).

Atomic structure:
```
LiCuS
1.0
12.250 0.000 0.000
0.000 3.711 0.000
0.000 0.000 3.722
Li Cu S
4 4 4
Direct
0.078 0.250 0.236 Li
0.422 0.750 0.736 Li
0.578 0.250 0.264 Li
0.922 0.750 0.764 Li
0.250 0.250 0.720 Cu
0.250 0.750 0.220 Cu
0.750 0.250 0.780 Cu
0.750 0.750 0.280 Cu
0.123 0.750 0.736 S
0.377 0.250 0.236 S
0.623 0.750 0.764 S
0.877 0.250 0.264 S
```

Most intense lines, 2θ from 5° to 70°, by angle:
hkl, 2theta, I_rel
2 0 0, 14.46, 100
2 1 0, 28.08, 17
4 0 0, 29.16, 5
0 1 1, 34.12, 5
2 1 1, 37.23, 47
6 0 0, 44.37, 8
4 1 1, 45.48, 53
0 0 2, 48.94, 10
0 2 0, 49.09, 11
2 0 2, 51.31, 6
2 2 0, 51.45, 7
6 1 1, 57.13, 9

=====

Entry 7:
Structure and calculated X-ray diffraction stick pattern of CeInCu (a crystal structure in the Materials Project, relaxed with GGA-PBE; λ = 1.5418 Å (Cu Kα)).

Atomic structure:
```
CeInCu
1.0
4.767 0.000 0.000
-2.383 4.128 0.000
0.000 0.000 3.512
Ce In Cu
1 1 1
Direct
0.000 0.000 0.000 Ce
0.333 0.667 0.500 In
0.667 0.333 0.500 Cu
```

Most intense lines, 2θ from 5° to 70°, by angle:
hkl, 2theta, I_rel
1 0 0, 21.53, 10
1 0 1, 33.50, 100
1 1 0, 37.75, 69
2 0 0, 43.86, 2
1 1 1, 46.02, 2
2 0 1, 51.35, 29
0 0 2, 52.08, 9
1 0 2, 56.99, 2
2 1 0, 59.22, 1
2 1 1, 65.46, 28
1 1 2, 66.09, 25
3 0 0, 68.15, 12